RbGeI4: calculated PXRD pattern (Cu Ka), based on a structure optimized by DFT (PBE).
Neutral-atom scattering factors, no anomalous dispersion.

Most intense lines, 2θ from 15° to 90°, sorted by position:
index	2theta	intensity
1 0 -1	15.4	67
1 2 0	18.6	100
0 0 2	24.0	46
2 0 0	24.1	44
0 3 1	24.5	63
1 0 -2	24.9	53
2 0 -1	25.1	61
2 2 0	28.1	42
1 3 1	28.3	84
1 0 2	28.8	71
2 0 -2	31.1	54
0 3 2	32.3	53

Atomic structure:
a b c (Å): 7.484 12.513 7.531
angles (deg): 90.00 99.93 90.00
Space group P2_1/m (No. 11)
One atom of each set of equivalent atoms:
Rb  0.194  0.250  0.174 (multiplicity 2)
Ge  0.309  0.750  0.328 (multiplicity 2)
I  0.136  0.579  0.148 (multiplicity 4)
I  0.294  0.750  0.684 (multiplicity 2)
I  0.332  0.250  0.684 (multiplicity 2)